Record 1
For Pr2Sm2BIBr4, a crystal structure in OQMD, relaxed with PBE gives the computed powder XRD pattern in this record (Cu Ka).
Intensities are scaled so that the largest is 100.

Structural model:
```
Pr2Sm2BIBr4
1.0
9.212 -2.051 0.000
9.212 2.051 0.000
-2.058 0.000 8.740
Pr Sm B I Br
2 2 1 1 4
Cartesian
-0.593 0.000 2.599
16.960 0.000 6.141
5.684 0.000 3.727
10.682 0.000 5.013
8.183 0.000 4.370
9.212 0.000 0.000
1.418 0.000 7.119
2.469 0.000 3.070
13.897 0.000 5.670
14.949 0.000 1.621
```

Most intense lines, 2θ = 10–90°, in order of rising 2θ:
2θ/deg, I_rel
10.12, 36
27.01, 14
29.50, 100
29.89, 36
40.19, 15
42.27, 24
42.72, 24
44.16, 15
54.26, 17
61.21, 19

---

Record 2
For Zr7P4, a crystal structure in OQMD, relaxed with PBE gives the computed powder XRD pattern in this record (Cu Ka).
Intensities are scaled so that the largest is 100.

Structural model:
```
Zr7P4
1.0
7.953 -1.812 0.000
7.953 1.812 0.000
-3.801 0.000 14.317
Zr P
14 8
Cartesian
0.000 0.000 0.000
-2.470 0.000 9.560
0.741 0.000 7.749
1.937 0.000 4.450
0.231 0.000 11.412
5.296 0.000 0.421
3.710 0.000 11.898
6.052 0.000 7.158
8.395 0.000 2.419
6.809 0.000 13.895
11.873 0.000 2.905
10.168 0.000 9.867
11.364 0.000 6.568
14.574 0.000 4.756
-2.240 0.000 12.207
2.381 0.000 1.604
4.585 0.000 4.873
3.673 0.000 8.616
8.431 0.000 5.700
7.520 0.000 9.444
9.723 0.000 12.713
14.344 0.000 2.110
```

Most intense lines, 2θ = 10–90°, in order of rising 2θ:
2θ/deg, I_rel
31.78, 66
33.18, 100
34.64, 95
36.81, 95
37.59, 69
37.70, 51
37.98, 69
38.09, 93
38.39, 97
50.36, 75

---

Record 3
For LuSn, a crystal structure in OQMD, relaxed with PBE gives the computed powder XRD pattern in this record (Cu Ka).
Intensities are scaled so that the largest is 100.

Structural model:
```
LuSn
1.0
3.514 0.000 0.000
-1.757 3.043 0.000
0.000 0.000 4.918
Lu Sn
1 1
Cartesian
0.000 0.000 0.000
1.757 1.014 2.459
```

Most intense lines, 2θ = 10–90°, in order of rising 2θ:
2θ/deg, I_rel
29.35, 28
34.66, 100
36.54, 19
47.54, 15
52.05, 21
64.06, 17
64.57, 17
65.27, 22
86.99, 16
87.46, 8

---

Record 4
For CdIn2Re, a crystal structure in OQMD, relaxed with PBE gives the computed powder XRD pattern in this record (Cu Ka).
Intensities are scaled so that the largest is 100.

Structural model:
```
CdIn2Re
1.0
0.000 3.427 3.427
3.427 0.000 3.427
3.427 3.427 0.000
Cd In Re
1 2 1
Cartesian
0.000 0.000 0.000
1.713 1.713 1.713
3.427 3.427 3.427
5.140 5.140 5.140
```

Most intense lines, 2θ = 10–90°, in order of rising 2θ:
2θ/deg, I_rel
22.47, 4
26.00, 2
37.11, 100
43.81, 2
53.48, 17
58.73, 1
60.41, 1
66.89, 34
79.04, 11
83.44, 1

---

Record 5
For YEr4Tm2Cu2Te2, a crystal structure in OQMD, relaxed with PBE gives the computed powder XRD pattern in this record (Cu Ka).
Intensities are scaled so that the largest is 100.

Structural model:
```
YEr4Tm2Cu2Te2
1.0
-1.970 7.685 4.753
1.970 -7.685 4.753
1.970 7.685 -4.753
Y Er Tm Cu Te
1 4 2 2 2
Cartesian
0.000 0.000 0.000
1.970 5.688 -0.812
0.000 1.997 3.941
0.000 5.463 2.488
0.000 9.908 2.488
1.970 2.854 1.136
0.000 4.831 5.889
1.970 -4.042 4.047
1.970 4.042 4.047
1.970 0.000 2.509
0.000 0.000 6.290
```

Most intense lines, 2θ = 10–90°, in order of rising 2θ:
2θ/deg, I_rel
24.46, 23
30.03, 45
30.56, 20
33.24, 72
33.93, 100
34.36, 63
38.29, 22
46.09, 30
51.38, 20
58.00, 29

---

Record 6
For AsPt7, a crystal structure in OQMD, relaxed with PBE gives the computed powder XRD pattern in this record (Cu Ka).
Intensities are scaled so that the largest is 100.

Structural model:
```
AsPt7
1.0
2.849 0.000 0.000
0.000 2.849 0.000
0.000 0.000 42.914
As Pt
2 14
Cartesian
0.712 0.712 7.138
2.137 2.137 35.777
0.712 0.712 10.819
0.712 0.712 14.702
0.712 0.712 18.551
0.712 0.712 22.429
0.712 0.712 26.293
0.712 0.712 30.145
0.712 0.712 34.132
2.137 2.137 8.782
2.137 2.137 12.769
2.137 2.137 16.621
2.137 2.137 20.485
2.137 2.137 24.363
2.137 2.137 28.212
2.137 2.137 32.095
```

Most intense lines, 2θ = 10–90°, in order of rising 2θ:
2θ/deg, I_rel
37.90, 12
39.15, 100
40.48, 23
44.99, 35
45.05, 12
46.56, 15
65.53, 15
66.75, 20
79.05, 27
84.15, 11

---

Record 7
For Tb3PrF15, a crystal structure in OQMD, relaxed with PBE gives the computed powder XRD pattern in this record (Cu Ka).
Intensities are scaled so that the largest is 100.

Structural model:
```
Tb3PrF15
1.0
6.078 3.509 1.972
-6.078 3.509 1.972
0.000 -7.018 1.972
Tb Pr F
3 1 15
Cartesian
0.000 -3.344 1.972
-2.896 1.672 1.972
2.896 1.672 1.972
0.000 0.000 4.735
-2.088 -2.641 1.765
-3.331 -0.487 1.765
-4.420 -2.552 4.146
2.088 -2.641 1.765
-1.243 3.128 1.765
0.000 -1.342 2.779
-1.162 0.671 2.779
-1.990 -1.149 4.298
3.331 -0.487 1.765
1.243 3.128 1.765
1.162 0.671 2.779
1.990 -1.149 4.298
0.000 2.298 4.298
4.420 -2.552 4.146
0.000 5.104 4.146
```

Most intense lines, 2θ = 10–90°, in order of rising 2θ:
2θ/deg, I_rel
22.61, 100
27.01, 14
29.39, 50
34.79, 13
37.40, 21
43.56, 14
46.17, 14
48.26, 32
48.54, 10
55.68, 15

---

Record 8
For PrErPt2, a crystal structure in OQMD, relaxed with PBE gives the computed powder XRD pattern in this record (Cu Ka).
Intensities are scaled so that the largest is 100.

Structural model:
```
PrErPt2
1.0
4.561 0.000 0.000
0.000 7.197 0.000
0.000 0.000 5.639
Pr Er Pt
2 2 4
Cartesian
0.000 0.503 0.000
2.281 6.694 2.819
0.000 4.079 1.221
2.281 3.118 4.041
0.000 1.631 2.898
0.000 4.936 3.969
2.281 2.261 1.150
2.281 5.566 0.079
```

Most intense lines, 2θ = 10–90°, in order of rising 2θ:
2θ/deg, I_rel
20.00, 13
31.68, 55
34.16, 30
35.54, 70
39.58, 100
40.88, 15
53.20, 17
53.46, 15
68.47, 14
71.74, 11

---

Record 9
For RbHoW, a crystal structure in OQMD, relaxed with PBE gives the computed powder XRD pattern in this record (Cu Ka).
Intensities are scaled so that the largest is 100.

Structural model:
```
RbHoW
1.0
0.000 3.747 3.747
3.747 0.000 3.747
3.747 3.747 0.000
Rb Ho W
1 1 1
Cartesian
0.000 0.000 0.000
5.620 5.620 5.620
3.747 3.747 3.747
```

Most intense lines, 2θ = 10–90°, in order of rising 2θ:
2θ/deg, I_rel
20.53, 44
33.83, 100
39.90, 24
48.60, 18
53.29, 11
60.53, 38
64.63, 8
71.18, 12
74.98, 8
81.18, 16

---

Record 10
For ReNF6, a crystal structure in OQMD, relaxed with PBE gives the computed powder XRD pattern in this record (Cu Ka).
Intensities are scaled so that the largest is 100.

Structural model:
```
ReNF6
1.0
4.720 0.000 0.000
0.000 8.296 0.000
-2.469 0.000 8.334
Re N F
4 4 24
Cartesian
0.000 1.213 0.000
-1.234 7.083 4.167
0.539 2.937 4.783
1.773 5.359 0.616
1.309 4.037 5.862
2.544 4.259 1.695
1.481 0.115 7.253
2.715 8.182 3.087
-0.324 0.154 1.492
-1.972 2.470 7.052
-0.738 5.827 2.885
-1.558 8.143 5.659
-1.145 3.719 4.912
0.089 4.578 0.745
-0.298 1.794 3.526
-1.532 6.503 7.693
0.837 2.352 1.260
-0.398 5.944 5.427
-0.785 0.433 8.201
0.450 7.863 4.034
0.038 1.686 6.069
1.272 6.611 1.902
0.865 3.993 3.290
-0.369 4.303 7.456
2.159 0.766 2.343
0.925 7.531 6.510
3.226 2.291 0.278
1.991 6.006 4.445
2.031 1.856 4.510
3.265 6.441 0.343
3.099 3.379 2.439
1.865 4.917 6.606
```

Most intense lines, 2θ = 10–90°, in order of rising 2θ:
2θ/deg, I_rel
21.33, 53
22.26, 55
22.38, 38
23.96, 100
24.59, 23
27.17, 48
38.13, 19
39.04, 23
44.17, 24
46.98, 23

---

Record 11
For ThAl10Fe2, a crystal structure in OQMD, relaxed with PBE gives the computed powder XRD pattern in this record (Cu Ka).
Intensities are scaled so that the largest is 100.

Structural model:
```
ThAl10Fe2
1.0
4.470 -5.114 0.000
4.470 5.114 0.000
0.000 0.000 9.030
Th Al Fe
2 20 4
Cartesian
4.470 3.831 6.772
4.470 -3.831 2.257
2.433 1.403 6.772
4.470 3.471 0.900
4.470 3.471 3.615
3.140 1.328 2.257
2.036 0.000 0.000
2.036 0.000 4.515
4.470 1.267 4.956
4.470 1.267 8.589
2.433 -1.403 2.257
3.140 -1.328 6.772
5.801 1.328 2.257
6.507 1.403 6.772
4.470 -1.267 0.441
4.470 -1.267 4.074
6.905 0.000 0.000
6.905 0.000 4.515
5.801 -1.328 6.772
4.470 -3.471 5.415
4.470 -3.471 8.130
6.507 -1.403 2.257
2.235 2.557 0.000
2.235 2.557 4.515
2.235 -2.557 0.000
2.235 -2.557 4.515
```

Most intense lines, 2θ = 10–90°, in order of rising 2θ:
2θ/deg, I_rel
13.15, 75
16.43, 88
19.94, 66
23.73, 53
28.07, 74
28.30, 75
37.20, 51
40.19, 100
40.55, 63
40.65, 54

---

Record 12
For GdAgTeSe, a crystal structure in OQMD, relaxed with PBE gives the computed powder XRD pattern in this record (Cu Ka).
Intensities are scaled so that the largest is 100.

Structural model:
```
GdAgTeSe
1.0
4.743 -5.150 0.000
4.743 5.150 0.000
0.000 0.000 4.513
Gd Ag Te Se
2 2 2 2
Cartesian
0.000 0.000 0.000
4.743 0.000 1.742
2.372 2.575 0.710
2.372 -2.575 0.710
4.743 3.022 2.203
4.743 -3.022 2.203
2.843 0.000 4.109
6.643 0.000 4.109
```

Most intense lines, 2θ = 10–90°, in order of rising 2θ:
2θ/deg, I_rel
23.48, 35
26.26, 44
27.28, 76
32.44, 93
34.15, 76
34.84, 67
35.75, 48
37.94, 56
43.79, 100
52.45, 31

---

Record 13
For Pr2ErZn3Ir2Pt, a crystal structure in OQMD, relaxed with PBE gives the computed powder XRD pattern in this record (Cu Ka).
Intensities are scaled so that the largest is 100.

Structural model:
```
Pr2ErZn3Ir2Pt
1.0
3.992 0.000 0.000
0.000 6.278 3.657
0.000 -6.278 3.657
Pr Er Zn Ir Pt
2 1 3 2 1
Cartesian
0.000 -3.681 3.657
0.000 3.681 3.657
0.000 0.000 4.489
1.996 -1.520 2.441
1.996 1.520 2.441
1.996 0.000 7.007
1.996 -1.979 5.149
1.996 1.979 5.149
0.000 0.000 1.571
```

Most intense lines, 2θ = 10–90°, in order of rising 2θ:
2θ/deg, I_rel
24.50, 34
26.42, 29
33.22, 34
33.35, 78
36.26, 100
36.41, 70
42.93, 44
44.31, 38
45.44, 43
64.29, 26